Tm8Hg2Sb: simulated PXRD pattern (Cu Kα (λ = 1.5418 Å)), based on a DFT-relaxed cell (GGA-PBE, Alexandria).

Structural model:
abc: 8.612 14.019 5.533
angles: 90.00 109.66 90.00
Space group C2/m (No. 12)
Symmetry-distinct sites (fractional):
Tm (0.000, 0.228, 0.000) [4 per cell]
Tm (0.102, 0.500, 0.799) [4 per cell]
Tm (0.209, 0.116, 0.616) [8 per cell]
Hg (0.000, 0.303, 0.500) [4 per cell]
Sb (0.000, 0.000, 0.000) [2 per cell]

Principal peaks in the range 2θ from 10° to 80°, low angle first:
| d (Å) | I_rel | h k l |
| --- | --- | --- |
| 2.965 | 54 | 1 3 1 |
| 2.908 | 65 | 0 4 1 |
| 2.763 | 89 | 3 1 -1 |
| 2.714 | 49 | 1 1 -2 |
| 2.651 | 100 | 2 4 0 |
| 2.474 | 91 | 1 5 -1 |

---

Mg2ScCd3: simulated PXRD pattern (Cu Kα (λ = 1.5418 Å)), based on a DFT-relaxed cell (GGA-PBE, Alexandria).

Structural model:
abc: 4.749 7.577 7.549
angles: 90.00 108.05 90.00
Space group P2/m (No. 10)
Symmetry-distinct sites (fractional):
Mg (0.000, 0.000, 0.000) [1 per cell]
Mg (0.000, 0.500, 0.000) [1 per cell]
Mg (0.335, 0.000, 0.674) [2 per cell]
Sc (0.333, 0.500, 0.666) [2 per cell]
Cd (0.168, 0.244, 0.334) [4 per cell]
Cd (0.500, 0.253, 0.000) [2 per cell]

Principal peaks in the range 2θ from 10° to 80°, low angle first:
| d (Å) | I_rel | h k l |
| --- | --- | --- |
| 3.788 | 46 | 0 2 0 |
| 3.379 | 35 | 1 0 1 |
| 2.522 | 100 | 1 2 1 |
| 2.515 | 99 | 1 2 -2 |
| 2.392 | 43 | 0 0 3 |
| 2.375 | 42 | 2 0 -1 |

---

Pr4In21Pd10: simulated PXRD pattern (Cu Kα (λ = 1.5418 Å)), based on a DFT-relaxed cell (GGA-PBE, Alexandria).

Structural model:
abc: 23.443 4.610 17.227
angles: 90.00 124.15 90.00
Space group C2/m (No. 12)
Symmetry-distinct sites (fractional):
Pr (0.123, 0.000, 0.335) [4 per cell]
Pr (0.229, 0.000, 0.826) [4 per cell]
In (0.000, 0.500, 0.500) [2 per cell]
In (0.010, 0.000, 0.094) [4 per cell]
In (0.042, 0.500, 0.368) [4 per cell]
In (0.066, 0.000, 0.799) [4 per cell]
In (0.101, 0.500, 0.000) [4 per cell]
In (0.116, 0.000, 0.554) [4 per cell]
In (0.116, 0.500, 0.705) [4 per cell]
In (0.130, 0.500, 0.200) [4 per cell]
In (0.201, 0.000, 0.005) [4 per cell]
In (0.201, 0.500, 0.501) [4 per cell]
In (0.248, 0.500, 0.705) [4 per cell]
Pd (0.005, 0.500, 0.185) [4 per cell]
Pd (0.024, 0.000, 0.611) [4 per cell]
Pd (0.136, 0.000, 0.108) [4 per cell]
Pd (0.154, 0.500, 0.889) [4 per cell]
Pd (0.250, 0.000, 0.616) [4 per cell]

Principal peaks in the range 2θ from 10° to 80°, low angle first:
| d (Å) | I_rel | h k l |
| --- | --- | --- |
| 2.721 | 53 | 5 1 -5 |
| 2.685 | 71 | 5 1 1 |
| 2.672 | 40 | 7 1 -2 |
| 2.651 | 39 | 7 1 -4 |
| 2.629 | 69 | 1 1 4 |
| 2.305 | 100 | 0 2 0 |

---

ErTm3Zn8: simulated PXRD pattern (Cu Kα (λ = 1.5418 Å)), based on a DFT-relaxed cell (GGA-PBE, Alexandria).

Structural model:
abc: 5.4289 5.4289 26.4324
angles: 90.00 90.00 120.00
Space group R3m (No. 160, hexagonal axes)
Symmetry-distinct sites (fractional):
Er (0.0000, 0.0000, 0.0000) [3 per cell]
Tm (0.0000, 0.0000, 0.1248) [3 per cell]
Tm (0.0000, 0.0000, 0.4999) [3 per cell]
Tm (0.0000, 0.0000, 0.6247) [3 per cell]
Zn (0.0000, 0.0000, 0.3124) [3 per cell]
Zn (0.0000, 0.0000, 0.8123) [3 per cell]
Zn (0.0002, 0.5001, 0.0625) [9 per cell]
Zn (0.9998, 0.4999, 0.5622) [9 per cell]

Principal peaks in the range 2θ from 10° to 80°, low angle first:
| d (Å) | I_rel | h k l |
| --- | --- | --- |
| 2.714 | 41 | 1 1 0 |
| 2.703 | 40 | 0 1 8 |
| 2.312 | 100 | 2 0 2 |
| 2.304 | 33 | 1 0 10 |
| 1.566 | 23 | 3 0 0 |
| 1.476 | 32 | 2 1 10 |